Starting from a cell relaxed with GGA+U, the X-ray diffraction stick pattern of RbLi7Ni2O6 was computed for a wavelength of 1.5418 Å.
Kinematic intensities with the Lorentz-polarization factor, no thermal factor.

Peak list (12 most intense, 10 to 80 degrees two-theta, in order of rising 2θ)
2theta, intensity
17.52, 482
20.00, 946
25.81, 294
27.18, 934
31.21, 1000
31.68, 934
35.76, 308
36.15, 252
36.99, 743
39.32, 308
49.64, 413
60.04, 272

```
data_RbLi7Ni2O6
_chemical_formula_sum 'Rb1 Li7 Ni2 O6'
_cell_length_a 5.389
_cell_length_b 5.389
_cell_length_c 10.054
_cell_angle_alpha 92.46
_cell_angle_beta 92.46
_cell_angle_gamma 39.84
_space_group_name_H-M_alt 'P 1'
_space_group_IT_number 1
loop_
_space_group_symop_operation_xyz
'x,y,z'
loop_
_atom_site_label
_atom_site_type_symbol
_atom_site_fract_x
_atom_site_fract_y
_atom_site_fract_z
Rb1 Rb 0.000 0.000 0.000
Li1 Li 0.176 0.176 0.265
Li2 Li 0.247 0.247 0.586
Li3 Li 0.268 0.268 0.904
Li4 Li 0.500 0.500 0.500
Li5 Li 0.732 0.732 0.096
Li6 Li 0.753 0.753 0.414
Li7 Li 0.824 0.824 0.735
Ni1 Ni 0.426 0.426 0.253
Ni2 Ni 0.574 0.574 0.747
O1 O 0.307 0.307 0.107
O2 O 0.332 0.332 0.410
O3 O 0.391 0.391 0.743
O4 O 0.609 0.609 0.257
O5 O 0.668 0.668 0.590
O6 O 0.693 0.693 0.893
```


Starting from a cell relaxed with GGA+U, the X-ray diffraction stick pattern of Rb5LiSi2NiO8 was computed for a wavelength of 1.5418 Å.
Kinematic intensities with the Lorentz-polarization factor, no thermal factor.

Peak list (12 most intense, 10 to 80 degrees two-theta, in order of rising 2θ)
2theta, intensity
25.22, 403
28.49, 406
29.90, 1000
31.31, 66
31.50, 352
32.93, 117
37.13, 293
41.74, 100
46.13, 146
46.43, 90
53.13, 103
53.42, 71

```
data_Rb5LiSi2NiO8
_chemical_formula_sum 'Rb10 Li2 Si4 Ni2 O16'
_cell_length_a 6.821
_cell_length_b 6.821
_cell_length_c 13.954
_cell_angle_alpha 97.18
_cell_angle_beta 97.18
_cell_angle_gamma 98.98
_space_group_name_H-M_alt 'P 1'
_space_group_IT_number 1
loop_
_space_group_symop_operation_xyz
'x,y,z'
loop_
_atom_site_label
_atom_site_type_symbol
_atom_site_fract_x
_atom_site_fract_y
_atom_site_fract_z
Rb1 Rb 0.030 0.407 0.850
Rb2 Rb 0.131 0.869 0.750
Rb3 Rb 0.250 0.536 0.427
Rb4 Rb 0.407 0.030 0.350
Rb5 Rb 0.464 0.750 0.073
Rb6 Rb 0.536 0.250 0.927
Rb7 Rb 0.593 0.970 0.650
Rb8 Rb 0.750 0.464 0.573
Rb9 Rb 0.869 0.131 0.250
Rb10 Rb 0.970 0.593 0.150
Li1 Li 0.452 0.548 0.750
Li2 Li 0.548 0.452 0.250
Si1 Si 0.221 0.288 0.631
Si2 Si 0.288 0.221 0.131
Si3 Si 0.712 0.779 0.869
Si4 Si 0.779 0.712 0.369
Ni1 Ni 0.000 0.000 0.000
Ni2 Ni 0.000 0.000 0.500
O1 O 0.019 0.833 0.379
O2 O 0.167 0.981 0.121
O3 O 0.173 0.285 0.029
O4 O 0.239 0.532 0.633
O5 O 0.253 0.354 0.232
O6 O 0.285 0.173 0.529
O7 O 0.354 0.253 0.732
O8 O 0.468 0.761 0.867
O9 O 0.532 0.239 0.133
O10 O 0.646 0.747 0.268
O11 O 0.715 0.827 0.471
O12 O 0.747 0.646 0.768
O13 O 0.761 0.468 0.367
O14 O 0.827 0.715 0.971
O15 O 0.833 0.019 0.879
O16 O 0.981 0.167 0.621
```


Starting from a cell relaxed with GGA+U, the X-ray diffraction stick pattern of Li4NiRh3O8 was computed for a wavelength of 1.5418 Å.
Kinematic intensities with the Lorentz-polarization factor, no thermal factor.

Peak list (12 most intense, 10 to 80 degrees two-theta, in order of rising 2θ)
2theta, intensity
18.57, 1000
34.53, 550
36.25, 278
37.66, 86
42.52, 665
46.77, 205
56.90, 153
60.73, 211
62.66, 186
64.10, 192
73.70, 85
76.94, 98

```
data_Li4NiRh3O8
_chemical_formula_sum 'Li4 Ni1 Rh3 O8'
_cell_length_a 5.935
_cell_length_b 5.935
_cell_length_c 5.935
_cell_angle_alpha 61.85
_cell_angle_beta 61.85
_cell_angle_gamma 61.85
_space_group_name_H-M_alt 'P 1'
_space_group_IT_number 1
loop_
_space_group_symop_operation_xyz
'x,y,z'
loop_
_atom_site_label
_atom_site_type_symbol
_atom_site_fract_x
_atom_site_fract_y
_atom_site_fract_z
Li1 Li 0.000 0.000 0.000
Li2 Li 0.000 0.500 0.500
Li3 Li 0.500 0.000 0.500
Li4 Li 0.500 0.500 0.000
Ni1 Ni 0.500 0.500 0.500
Rh1 Rh 0.000 0.000 0.500
Rh2 Rh 0.000 0.500 0.000
Rh3 Rh 0.500 0.000 0.000
O1 O 0.237 0.747 0.747
O2 O 0.243 0.243 0.243
O3 O 0.253 0.253 0.763
O4 O 0.253 0.763 0.253
O5 O 0.747 0.237 0.747
O6 O 0.747 0.747 0.237
O7 O 0.757 0.757 0.757
O8 O 0.763 0.253 0.253
```


Starting from a cell relaxed with GGA+U, the X-ray diffraction stick pattern of Li2Ni2RuO6 was computed for a wavelength of 1.5418 Å.
Kinematic intensities with the Lorentz-polarization factor, no thermal factor.

Peak list (12 most intense, 10 to 80 degrees two-theta, in order of rising 2θ)
2theta, intensity
18.30, 1000
34.57, 157
35.68, 305
36.68, 64
37.09, 185
41.94, 219
43.47, 397
47.00, 112
57.45, 95
61.73, 121
62.27, 115
78.99, 79

```
data_Li2Ni2RuO6
_chemical_formula_sum 'Li2 Ni2 Ru1 O6'
_cell_length_a 5.122
_cell_length_b 5.122
_cell_length_c 5.197
_cell_angle_alpha 100.63
_cell_angle_beta 100.63
_cell_angle_gamma 118.32
_space_group_name_H-M_alt 'P 1'
_space_group_IT_number 1
loop_
_space_group_symop_operation_xyz
'x,y,z'
loop_
_atom_site_label
_atom_site_type_symbol
_atom_site_fract_x
_atom_site_fract_y
_atom_site_fract_z
Li1 Li 0.174 0.826 0.000
Li2 Li 0.826 0.174 0.000
Ni1 Ni 0.338 0.662 0.500
Ni2 Ni 0.662 0.338 0.500
Ru1 Ru 0.000 0.000 0.500
O1 O 0.069 0.394 0.723
O2 O 0.228 0.228 0.274
O3 O 0.394 0.069 0.723
O4 O 0.606 0.931 0.277
O5 O 0.772 0.772 0.726
O6 O 0.931 0.606 0.277
```


Starting from a cell relaxed with GGA+U, the X-ray diffraction stick pattern of LiNiS2O8 was computed for a wavelength of 1.5418 Å.
Kinematic intensities with the Lorentz-polarization factor, no thermal factor.

Peak list (12 most intense, 10 to 80 degrees two-theta, in order of rising 2θ)
2theta, intensity
11.63, 139
12.81, 137
14.48, 712
19.80, 432
24.24, 1000
24.35, 291
29.12, 246
29.30, 130
31.74, 424
31.87, 203
32.88, 135
37.17, 123

```
data_LiNiS2O8
_chemical_formula_sum 'Li3 Ni3 S6 O24'
_cell_length_a 8.358
_cell_length_b 8.373
_cell_length_c 9.001
_cell_angle_alpha 90.35
_cell_angle_beta 117.42
_cell_angle_gamma 119.81
_space_group_name_H-M_alt 'P 1'
_space_group_IT_number 1
loop_
_space_group_symop_operation_xyz
'x,y,z'
loop_
_atom_site_label
_atom_site_type_symbol
_atom_site_fract_x
_atom_site_fract_y
_atom_site_fract_z
Li1 Li 0.000 0.000 0.000
Li2 Li 0.105 0.930 0.702
Li3 Li 0.325 0.750 0.007
Ni1 Ni 0.084 0.417 0.182
Ni2 Ni 0.678 0.217 0.572
Ni3 Ni 0.696 0.719 0.099
S1 S 0.183 0.116 0.384
S2 S 0.184 0.326 0.886
S3 S 0.592 0.817 0.387
S4 S 0.607 0.028 0.892
S5 S 0.883 0.607 0.890
S6 S 0.888 0.526 0.386
O1 O 0.009 0.674 0.554
O2 O 0.026 0.937 0.225
O3 O 0.046 0.559 0.337
O4 O 0.065 0.592 0.025
O5 O 0.112 0.251 0.348
O6 O 0.128 0.280 0.027
O7 O 0.184 0.065 0.539
O8 O 0.257 0.205 0.868
O9 O 0.355 0.537 0.943
O10 O 0.395 0.931 0.879
O11 O 0.397 0.204 0.403
O12 O 0.416 0.613 0.343
O13 O 0.524 0.946 0.407
O14 O 0.582 0.059 0.725
O15 O 0.619 0.844 0.231
O16 O 0.693 0.902 0.935
O17 O 0.712 0.542 0.248
O18 O 0.729 0.573 0.944
O19 O 0.759 0.214 0.037
O20 O 0.764 0.466 0.719
O21 O 0.779 0.329 0.401
O22 O 0.792 0.865 0.544
O23 O 0.989 0.281 0.720
O24 O 0.996 0.806 0.879
```


Starting from a cell relaxed with GGA+U, the X-ray diffraction stick pattern of Li2Ni2S3O12 was computed for a wavelength of 1.5418 Å.
Kinematic intensities with the Lorentz-polarization factor, no thermal factor.

Peak list (12 most intense, 10 to 80 degrees two-theta, in order of rising 2θ)
2theta, intensity
14.72, 883
19.21, 386
23.67, 928
25.19, 612
26.33, 832
29.08, 304
30.90, 1000
31.64, 551
33.48, 349
37.79, 293
48.00, 373
52.07, 290

```
data_Li2Ni2S3O12
_chemical_formula_sum 'Li4 Ni4 S6 O24'
_cell_length_a 7.767
_cell_length_b 7.767
_cell_length_c 8.739
_cell_angle_alpha 111.49
_cell_angle_beta 111.49
_cell_angle_gamma 66.92
_space_group_name_H-M_alt 'P 1'
_space_group_IT_number 1
loop_
_space_group_symop_operation_xyz
'x,y,z'
loop_
_atom_site_label
_atom_site_type_symbol
_atom_site_fract_x
_atom_site_fract_y
_atom_site_fract_z
Li1 Li 0.136 0.322 0.048
Li2 Li 0.322 0.136 0.548
Li3 Li 0.678 0.864 0.452
Li4 Li 0.864 0.678 0.952
Ni1 Ni 0.128 0.628 0.482
Ni2 Ni 0.372 0.872 0.018
Ni3 Ni 0.628 0.128 0.982
Ni4 Ni 0.872 0.372 0.518
S1 S 0.059 0.941 0.250
S2 S 0.251 0.460 0.822
S3 S 0.460 0.251 0.322
S4 S 0.540 0.749 0.678
S5 S 0.749 0.540 0.178
S6 S 0.941 0.059 0.750
O1 O 0.047 0.129 0.387
O2 O 0.095 0.782 0.320
O3 O 0.124 0.502 0.929
O4 O 0.129 0.047 0.887
O5 O 0.133 0.457 0.637
O6 O 0.218 0.905 0.180
O7 O 0.258 0.385 0.310
O8 O 0.355 0.603 0.883
O9 O 0.385 0.258 0.810
O10 O 0.397 0.645 0.617
O11 O 0.457 0.133 0.137
O12 O 0.498 0.876 0.571
O13 O 0.502 0.124 0.429
O14 O 0.543 0.867 0.863
O15 O 0.603 0.355 0.383
O16 O 0.615 0.742 0.190
O17 O 0.645 0.397 0.117
O18 O 0.742 0.615 0.690
O19 O 0.782 0.095 0.820
O20 O 0.867 0.543 0.363
O21 O 0.871 0.953 0.113
O22 O 0.876 0.498 0.071
O23 O 0.905 0.218 0.680
O24 O 0.953 0.871 0.613
```


Starting from a cell relaxed with GGA+U, the X-ray diffraction stick pattern of Li5Ni5Sb2O12 was computed for a wavelength of 1.5418 Å.
Kinematic intensities with the Lorentz-polarization factor, no thermal factor.

Peak list (12 most intense, 10 to 80 degrees two-theta, in order of rising 2θ)
2theta, intensity
18.02, 675
19.41, 469
23.19, 602
30.99, 263
34.55, 240
36.33, 590
36.50, 200
41.96, 1000
42.82, 473
61.38, 286
61.63, 283
77.15, 202

```
data_Li5Ni5Sb2O12
_chemical_formula_sum 'Li5 Ni5 Sb2 O12'
_cell_length_a 5.265
_cell_length_b 5.265
_cell_length_c 10.033
_cell_angle_alpha 95.45
_cell_angle_beta 95.45
_cell_angle_gamma 120.59
_space_group_name_H-M_alt 'P 1'
_space_group_IT_number 1
loop_
_space_group_symop_operation_xyz
'x,y,z'
loop_
_atom_site_label
_atom_site_type_symbol
_atom_site_fract_x
_atom_site_fract_y
_atom_site_fract_z
Li1 Li 0.000 0.000 0.000
Li2 Li 0.257 0.237 0.755
Li3 Li 0.413 0.087 0.245
Li4 Li 0.763 0.743 0.245
Li5 Li 0.913 0.587 0.755
Ni1 Ni 0.088 0.410 0.247
Ni2 Ni 0.171 0.829 0.500
Ni3 Ni 0.505 0.495 0.500
Ni4 Ni 0.590 0.912 0.753
Ni5 Ni 0.669 0.331 0.000
Sb1 Sb 0.336 0.664 0.000
Sb2 Sb 0.838 0.162 0.500
O1 O 0.058 0.690 0.119
O2 O 0.129 0.127 0.376
O3 O 0.221 0.544 0.619
O4 O 0.310 0.942 0.881
O5 O 0.378 0.393 0.118
O6 O 0.456 0.779 0.381
O7 O 0.546 0.197 0.623
O8 O 0.607 0.622 0.882
O9 O 0.691 0.032 0.118
O10 O 0.803 0.454 0.377
O11 O 0.873 0.871 0.624
O12 O 0.968 0.309 0.882
```


Starting from a cell relaxed with GGA+U, the X-ray diffraction stick pattern of Li3Ni3SbO8 was computed for a wavelength of 1.5418 Å.
Kinematic intensities with the Lorentz-polarization factor, no thermal factor.

Peak list (12 most intense, 10 to 80 degrees two-theta, in order of rising 2θ)
2theta, intensity
17.95, 1000
18.17, 112
35.14, 330
35.47, 131
36.36, 70
36.79, 124
42.51, 402
42.94, 193
46.62, 157
55.99, 98
61.63, 111
62.39, 111

```
data_Li3Ni3SbO8
_chemical_formula_sum 'Li3 Ni3 Sb1 O8'
_cell_length_a 5.954
_cell_length_b 5.954
_cell_length_c 6.034
_cell_angle_alpha 119.71
_cell_angle_beta 119.71
_cell_angle_gamma 60.49
_space_group_name_H-M_alt 'P 1'
_space_group_IT_number 1
loop_
_space_group_symop_operation_xyz
'x,y,z'
loop_
_atom_site_label
_atom_site_type_symbol
_atom_site_fract_x
_atom_site_fract_y
_atom_site_fract_z
Li1 Li 0.000 0.000 0.000
Li2 Li 0.000 0.500 0.000
Li3 Li 0.500 0.000 0.000
Ni1 Ni 0.000 0.500 0.500
Ni2 Ni 0.500 0.000 0.500
Ni3 Ni 0.500 0.500 0.500
Sb1 Sb 0.000 0.000 0.500
O1 O 0.222 0.743 0.715
O2 O 0.234 0.234 0.749
O3 O 0.254 0.254 0.299
O4 O 0.257 0.778 0.285
O5 O 0.743 0.222 0.715
O6 O 0.746 0.746 0.701
O7 O 0.766 0.766 0.251
O8 O 0.778 0.257 0.285
```